# 1
# Nb3Co2Si
Theoretical powder diffraction line list, a wavelength of 1.5418 Å. Input: the PBE geometry in the Materials Project.
No peak broadening, texture or thermal motion is included.

Top 8 peaks for 2θ from 10° to 80°, sorted by position:
2θ/deg	I_rel
31.99	17.9
34.95	10.2
39.45	42.7
41.95	100.0
45.87	33.7
63.90	11.9
71.54	34.4
73.25	8.9

Crystal structure
```
Nb3Co2Si
1.0
0.000 5.595 5.595
5.595 0.000 5.595
5.595 5.595 0.000
Nb Co Si
12 8 4
Direct
0.076 0.076 0.674
0.076 0.674 0.076
0.076 0.674 0.674
0.326 0.326 0.924
0.326 0.924 0.326
0.326 0.924 0.924
0.674 0.076 0.076
0.674 0.076 0.674
0.674 0.674 0.076
0.924 0.326 0.326
0.924 0.326 0.924
0.924 0.924 0.326
0.292 0.292 0.292
0.292 0.292 0.623
0.292 0.623 0.292
0.377 0.708 0.708
0.623 0.292 0.292
0.708 0.377 0.708
0.708 0.708 0.377
0.708 0.708 0.708
0.000 0.500 0.500
0.500 0.000 0.500
0.500 0.500 0.000
0.500 0.500 0.500
```

# 2
# ErI3O9
Theoretical powder diffraction line list, a wavelength of 1.5418 Å. Input: the PBE geometry in the Materials Project.
No peak broadening, texture or thermal motion is included.

Top 8 peaks for 2θ from 10° to 80°, sorted by position:
2θ/deg	I_rel
20.53	20.0
22.75	37.6
25.04	18.8
25.81	100.0
26.66	85.4
30.04	33.9
30.80	23.2
32.06	29.2

Crystal structure
```
ErI3O9
1.0
8.770 0.000 0.000
0.000 6.158 0.000
-7.001 0.000 15.172
Er I O
4 12 36
Direct
0.149 0.211 0.106
0.149 0.289 0.606
0.851 0.711 0.394
0.851 0.789 0.894
0.074 0.189 0.360
0.074 0.311 0.860
0.353 0.646 0.519
0.353 0.854 0.019
0.418 0.596 0.802
0.418 0.904 0.302
0.582 0.096 0.698
0.582 0.404 0.198
0.647 0.146 0.981
0.647 0.354 0.481
0.926 0.689 0.140
0.926 0.811 0.640
0.059 0.053 0.683
0.059 0.447 0.183
0.095 0.605 0.669
0.095 0.895 0.169
0.120 0.136 0.475
0.120 0.364 0.975
0.123 0.631 0.483
0.123 0.869 0.983
0.342 0.583 0.889
0.342 0.917 0.389
0.343 0.175 0.256
0.343 0.325 0.756
0.353 0.068 0.940
0.353 0.432 0.440
0.362 0.014 0.636
0.362 0.486 0.136
0.387 0.027 0.116
0.387 0.473 0.616
0.613 0.527 0.384
0.613 0.973 0.884
0.638 0.514 0.864
0.638 0.986 0.364
0.647 0.568 0.560
0.647 0.932 0.060
0.657 0.675 0.244
0.657 0.825 0.744
0.658 0.083 0.611
0.658 0.417 0.111
0.877 0.131 0.017
0.877 0.369 0.517
0.880 0.636 0.025
0.880 0.864 0.525
0.905 0.105 0.831
0.905 0.395 0.331
0.941 0.553 0.817
0.941 0.947 0.317
```

# 3
# LiMg6BO7
Theoretical powder diffraction line list, a wavelength of 1.5418 Å. Input: the PBE geometry in the Materials Project.
No peak broadening, texture or thermal motion is included.

Top 8 peaks for 2θ from 10° to 80°, sorted by position:
2θ/deg	I_rel
20.76	26.4
29.53	10.8
37.06	13.4
42.25	100.0
44.63	36.7
61.28	27.9
63.14	44.6
78.92	20.9

Crystal structure
```
LiMg6BO7
1.0
4.278 0.000 0.000
0.000 4.278 0.000
0.000 0.000 8.121
Li Mg B O
1 6 1 7
Direct
0.000 0.000 0.000
0.000 0.500 0.256
0.000 0.500 0.748
0.500 0.000 0.256
0.500 0.000 0.748
0.500 0.500 0.001
0.500 0.500 0.501
0.000 0.000 0.508
0.000 0.000 0.685
0.000 0.500 0.001
0.000 0.500 0.499
0.500 0.000 0.001
0.500 0.000 0.499
0.500 0.500 0.252
0.500 0.500 0.750
```

# 4
# TbNd3Fe34
Theoretical powder diffraction line list, a wavelength of 1.5418 Å. Input: the PBE geometry in the Materials Project.
No peak broadening, texture or thermal motion is included.

Top 8 peaks for 2θ from 10° to 80°, sorted by position:
2θ/deg	I_rel
29.95	38.1
36.31	41.1
37.69	28.0
42.17	63.7
42.52	100.0
43.39	17.8
43.55	32.3
47.76	21.4

Crystal structure
```
TbNd3Fe34
1.0
4.838 -4.287 0.000
4.838 4.287 0.000
-2.079 0.000 12.749
Tb Nd Fe
1 3 34
Direct
0.000 0.000 0.000
0.001 0.001 0.500
0.316 0.316 0.842
0.317 0.317 0.341
0.001 0.001 0.246
0.001 0.001 0.749
0.001 0.505 0.500
0.001 0.505 0.999
0.158 0.659 0.170
0.159 0.659 0.671
0.315 0.315 0.093
0.316 0.813 0.843
0.317 0.317 0.594
0.317 0.812 0.342
0.367 0.660 0.025
0.367 0.950 0.170
0.369 0.659 0.526
0.369 0.949 0.671
0.505 0.001 0.500
0.505 0.001 0.999
0.562 0.562 0.219
0.562 0.562 0.719
0.659 0.158 0.170
0.659 0.159 0.671
0.659 0.369 0.526
0.659 0.659 0.421
0.659 0.659 0.921
0.659 0.949 0.315
0.660 0.367 0.025
0.660 0.949 0.817
0.756 0.756 0.622
0.757 0.757 0.122
0.812 0.317 0.342
0.813 0.316 0.843
0.949 0.369 0.671
0.949 0.659 0.315
0.949 0.660 0.817
0.950 0.367 0.170
```

# 5
# Zr3Al3C5
Theoretical powder diffraction line list, a wavelength of 1.5418 Å. Input: the PBE geometry in the Materials Project.
No peak broadening, texture or thermal motion is included.

Top 8 peaks for 2θ from 10° to 80°, sorted by position:
2θ/deg	I_rel
32.24	100.0
33.37	81.8
36.46	50.1
38.36	71.1
40.45	32.7
54.59	54.1
64.84	27.9
69.08	23.7

Crystal structure
```
Zr3Al3C5
1.0
3.362 0.000 0.000
-1.681 2.912 0.000
0.000 0.000 27.750
Zr Al C
6 6 10
Direct
0.000 0.000 0.000
0.000 0.000 0.500
0.333 0.667 0.096
0.333 0.667 0.404
0.667 0.333 0.596
0.667 0.333 0.904
0.000 0.000 0.250
0.000 0.000 0.750
0.333 0.667 0.677
0.333 0.667 0.823
0.667 0.333 0.177
0.667 0.333 0.323
0.000 0.000 0.153
0.000 0.000 0.347
0.000 0.000 0.653
0.000 0.000 0.847
0.333 0.667 0.550
0.333 0.667 0.750
0.333 0.667 0.950
0.667 0.333 0.050
0.667 0.333 0.250
0.667 0.333 0.450
```

# 6
# NpGa5Fe
Theoretical powder diffraction line list, a wavelength of 1.5418 Å. Input: the PBE geometry in the Materials Project.
No peak broadening, texture or thermal motion is included.

Top 8 peaks for 2θ from 10° to 80°, sorted by position:
2θ/deg	I_rel
13.29	19.2
20.50	37.6
32.16	64.8
33.95	21.5
39.98	100.0
41.69	56.5
59.62	23.4
74.94	30.6

Crystal structure
```
NpGa5Fe
1.0
4.333 0.000 0.000
0.000 4.333 0.000
0.000 0.000 6.662
Np Ga Fe
1 5 1
Direct
0.000 0.000 0.000
0.000 0.500 0.308
0.000 0.500 0.692
0.500 0.000 0.308
0.500 0.000 0.692
0.500 0.500 0.000
0.000 0.000 0.500
```

# 7
# LaMgMnS4
Theoretical powder diffraction line list, a wavelength of 1.5418 Å. Input: the PBE geometry in the Materials Project.
No peak broadening, texture or thermal motion is included.

Top 8 peaks for 2θ from 10° to 80°, sorted by position:
2θ/deg	I_rel
13.77	36.6
14.12	93.2
26.36	85.3
27.47	47.6
32.15	96.4
33.38	39.7
35.56	31.3
47.03	100.0

Crystal structure
```
LaMgMnS4
1.0
-3.864 4.015 5.368
3.864 -4.015 5.368
3.864 4.015 -5.368
La Mg Mn S
2 2 2 8
Direct
0.000 0.000 0.000
0.500 0.000 0.500
0.373 0.623 0.750
0.627 0.377 0.250
0.000 0.000 0.500
0.000 0.500 0.000
0.206 0.736 0.469
0.224 0.229 0.505
0.224 0.718 0.995
0.233 0.264 0.969
0.767 0.736 0.031
0.776 0.282 0.005
0.776 0.771 0.495
0.794 0.264 0.531
```

Number 7 is which compound? LaMgMnS4